# 1
Diffraction record for AgMo12PbS16. The XRD peak list is computed, not measured: it uses a PBE-relaxed structure and Cu Kα (weighted mean of Kα1 and Kα2).
Lines closer than 0.1° are merged.

Structural model:
```
data_AgMo12PbS16
_chemical_formula_sum 'Ag3 Mo36 Pb3 S48'
_space_group_name_H-M_alt 'R -3'
_space_group_IT_number 148
_space_group_name_Hall '-R 3'
_cell_length_a 9.3155
_cell_length_b 9.3155
_cell_length_c 22.5398
_cell_angle_alpha 90.00
_cell_angle_beta 90.00
_cell_angle_gamma 120.00
loop_
_atom_site_label
_atom_site_fract_x
_atom_site_fract_y
_atom_site_fract_z
_atom_site_occupancy
Ag1 0.0000 0.0000 0.0000 1
Mo1 0.0146 0.1739 0.8024 1
Mo2 0.0145 0.1770 0.3005 1
Pb1 0.0000 0.0000 0.5000 1
S1 0.0000 0.0000 0.1145 1
S2 0.0000 0.0000 0.3796 1
S3 0.0115 0.3785 0.8741 1
S4 0.0168 0.3798 0.3755 1
```

Main lines, low angle first (2θ from 5° to 70°):
2theta	I_rel	h k l
13.50	87	0 1 2
19.05	66	1 1 0
19.21	62	1 0 4
30.37	100	1 2 2
33.40	75	2 1 4
41.13	84	3 1 2
41.60	63	1 0 10
43.52	42	4 -3 4
43.75	64	3 -2 8
45.84	96	2 2 6

# 2
Diffraction record for RbAgMo. The XRD peak list is computed, not measured: it uses a PBE-relaxed structure and Cu Kα (weighted mean of Kα1 and Kα2).
Lines closer than 0.1° are merged.

Structural model:
```
data_RbAgMo
_chemical_formula_sum 'Rb4 Ag4 Mo4'
_space_group_name_H-M_alt 'P n m a'
_space_group_IT_number 62
_cell_length_a 9.6634
_cell_length_b 3.2571
_cell_length_c 11.5890
_cell_angle_alpha 90.00
_cell_angle_beta 90.00
_cell_angle_gamma 90.00
loop_
_space_group_symop_operation_xyz
'x,y,z'
'-x,-y,-z'
'-x+1/2,-y,z+1/2'
'x+1/2,y,-z+1/2'
'x+1/2,-y+1/2,-z+1/2'
'-x+1/2,y+1/2,z+1/2'
'-x,y+1/2,-z'
'x,-y+1/2,z'
loop_
_atom_site_label
_atom_site_fract_x
_atom_site_fract_y
_atom_site_fract_z
_atom_site_occupancy
Rb1 0.0850 0.2500 0.1752 1
Ag1 0.2462 0.2500 0.9040 1
Mo1 0.0727 0.2500 0.5375 1
```

Main lines, low angle first (2θ from 5° to 70°):
2theta	I_rel	h k l
11.92	55	1 0 1
15.29	37	0 0 2
24.82	79	1 0 3
31.78	100	3 0 2
32.88	36	1 1 2
33.17	47	2 1 0
36.09	68	0 1 3
37.29	30	1 1 3
40.13	47	3 1 1
56.50	31	0 2 0

# 3
Diffraction record for TlAg2MoS4. The XRD peak list is computed, not measured: it uses a PBE-relaxed structure and Cu Kα (weighted mean of Kα1 and Kα2).
Lines closer than 0.1° are merged.

Structural model:
```
data_TlAg2MoS4
_chemical_formula_sum 'Tl4 Ag8 Mo4 S16'
_space_group_name_H-M_alt 'F m m 2'
_space_group_IT_number 42
_space_group_name_Hall 'F 2 -2'
_cell_length_a 9.2438
_cell_length_b 9.2494
_cell_length_c 9.4312
_cell_angle_alpha 90.00
_cell_angle_beta 90.00
_cell_angle_gamma 90.00
loop_
_atom_site_label
_atom_site_fract_x
_atom_site_fract_y
_atom_site_fract_z
_atom_site_occupancy
Tl1 0.0000 0.0000 0.0000 1
Ag1 0.2500 0.2500 0.2504 1
Mo1 0.0000 0.0000 0.5006 1
S1 0.0000 0.1974 0.3625 1
S2 0.1975 0.0000 0.6387 1
```

Main lines, low angle first (2θ from 5° to 70°):
2theta	I_rel	h k l
27.01	100	2 0 2
27.28	29	2 2 0
32.05	8	1 3 1
38.96	24	4 0 0
47.55	28	2 2 4
48.05	40	4 2 2
55.68	9	0 4 4
62.40	9	0 2 6
63.51	8	6 0 2
63.65	7	6 2 0

# 4
Diffraction record for ScAgMo2. The XRD peak list is computed, not measured: it uses a PBE-relaxed structure and Cu Kα (weighted mean of Kα1 and Kα2).
Lines closer than 0.1° are merged.

Structural model:
```
data_ScAgMo2
_chemical_formula_sum 'Sc1 Ag1 Mo2'
_space_group_name_H-M_alt 'P 4 m m'
_space_group_IT_number 99
_cell_length_a 3.2602
_cell_length_b 3.2602
_cell_length_c 6.6732
_cell_angle_alpha 90.00
_cell_angle_beta 90.00
_cell_angle_gamma 90.00
loop_
_space_group_symop_operation_xyz
'x,y,z'
'-y,x,z'
'-x,-y,z'
'y,-x,z'
'-x,y,z'
'y,x,z'
'x,-y,z'
'-y,-x,z'
loop_
_atom_site_label
_atom_site_fract_x
_atom_site_fract_y
_atom_site_fract_z
_atom_site_occupancy
Sc1 0.0000 0.0000 0.0000 1
Ag1 0.5000 0.5000 0.2674 1
Mo1 0.0000 0.0000 0.5418 1
Mo2 0.5000 0.5000 0.7384 1
```

Main lines, low angle first (2θ from 5° to 70°):
2theta	I_rel	h k l
13.27	14	0 0 1
26.72	4	0 0 2
27.36	5	1 0 0
30.52	4	1 0 1
38.61	100	1 0 2
39.07	52	1 1 0
49.61	4	1 0 3
55.04	7	0 0 4
56.45	17	2 0 0
69.56	13	1 1 4

# 5
Diffraction record for Sc3AgMo. The XRD peak list is computed, not measured: it uses a PBE-relaxed structure and Cu Kα (weighted mean of Kα1 and Kα2).
Lines closer than 0.1° are merged.

Structural model:
```
data_Sc3AgMo
_chemical_formula_sum 'Sc3 Ag1 Mo1'
_space_group_name_H-M_alt 'P m -3 m'
_space_group_IT_number 221
_space_group_name_Hall '-P 4 2 3'
_cell_length_a 5.0155
_cell_length_b 5.0155
_cell_length_c 5.0155
_cell_angle_alpha 90.00
_cell_angle_beta 90.00
_cell_angle_gamma 90.00
loop_
_atom_site_label
_atom_site_fract_x
_atom_site_fract_y
_atom_site_fract_z
_atom_site_occupancy
Sc1 0.0000 0.0000 0.5000 1
Ag1 0.5000 0.5000 0.5000 1
Mo1 0.0000 0.0000 0.0000 1
```

Main lines, low angle first (2θ from 5° to 70°):
2theta	I_rel	h k l
17.68	5	1 0 0
25.11	100	1 1 0
30.88	32	1 1 1
35.81	85	2 0 0
40.21	2	2 1 0
44.23	43	2 1 1
51.54	56	2 2 0
58.16	19	3 1 0
61.30	11	3 1 1
64.34	18	2 2 2

# 6
Diffraction record for AgMo2Se. The XRD peak list is computed, not measured: it uses a PBE-relaxed structure and Cu Kα (weighted mean of Kα1 and Kα2).
Lines closer than 0.1° are merged.

Structural model:
```
data_AgMo2Se
_chemical_formula_sum 'Ag1 Mo2 Se1'
_space_group_name_H-M_alt 'P 4 m m'
_space_group_IT_number 99
_cell_length_a 2.9671
_cell_length_b 2.9671
_cell_length_c 8.1092
_cell_angle_alpha 90.00
_cell_angle_beta 90.00
_cell_angle_gamma 90.00
loop_
_space_group_symop_operation_xyz
'x,y,z'
'-y,x,z'
'-x,-y,z'
'y,-x,z'
'-x,y,z'
'y,x,z'
'x,-y,z'
'-y,-x,z'
loop_
_atom_site_label
_atom_site_fract_x
_atom_site_fract_y
_atom_site_fract_z
_atom_site_occupancy
Ag1 0.0000 0.0000 0.0000 1
Mo1 0.0000 0.0000 0.4900 1
Mo2 0.5000 0.5000 0.2577 1
Se1 0.5000 0.5000 0.6790 1
```

Main lines, low angle first (2θ from 5° to 70°):
2theta	I_rel	h k l
10.91	7	0 0 1
21.92	4	0 0 2
33.14	4	0 0 3
37.56	100	1 0 2
43.12	38	1 1 0
44.69	11	0 0 4
45.39	7	1 0 3
54.85	4	1 0 4
62.62	12	2 0 0
63.85	14	1 1 4

# 7
Diffraction record for SrYAg2Mo. The XRD peak list is computed, not measured: it uses a PBE-relaxed structure and Cu Kα (weighted mean of Kα1 and Kα2).
Lines closer than 0.1° are merged.

Structural model:
```
data_SrYAg2Mo
_chemical_formula_sum 'Sr1 Y1 Ag2 Mo1'
_space_group_name_H-M_alt 'P 4/m m m'
_space_group_IT_number 123
_space_group_name_Hall '-P 4 2'
_cell_length_a 5.3811
_cell_length_b 5.3811
_cell_length_c 4.9045
_cell_angle_alpha 90.00
_cell_angle_beta 90.00
_cell_angle_gamma 90.00
loop_
_atom_site_label
_atom_site_fract_x
_atom_site_fract_y
_atom_site_fract_z
_atom_site_occupancy
Sr1 0.0000 0.0000 0.0000 1
Y1 0.5000 0.5000 0.0000 1
Ag1 0.0000 0.5000 0.5000 1
Mo1 0.5000 0.5000 0.5000 1
```

Main lines, low angle first (2θ from 5° to 70°):
2theta	I_rel	h k l
16.47	24	1 0 0
18.09	19	0 0 1
24.56	16	1 0 1
29.72	100	1 1 1
33.30	99	2 0 0
36.65	38	0 0 2
47.81	35	2 2 0
50.35	59	2 0 2
57.31	29	3 1 1
61.72	43	2 2 2

# 8
Diffraction record for Ta2AgMo. The XRD peak list is computed, not measured: it uses a PBE-relaxed structure and Cu Kα (weighted mean of Kα1 and Kα2).
Lines closer than 0.1° are merged.

Structural model:
```
data_Ta2AgMo
_chemical_formula_sum 'Ta4 Ag2 Mo2'
_space_group_name_H-M_alt 'C m m m'
_space_group_IT_number 65
_space_group_name_Hall '-C 2 2'
_cell_length_a 3.2723
_cell_length_b 4.5635
_cell_length_c 9.3452
_cell_angle_alpha 90.00
_cell_angle_beta 90.00
_cell_angle_gamma 90.00
loop_
_atom_site_label
_atom_site_fract_x
_atom_site_fract_y
_atom_site_fract_z
_atom_site_occupancy
Ta1 0.0000 0.0000 0.2400 1
Ag1 0.0000 0.5000 0.5000 1
Mo1 0.0000 0.5000 0.0000 1
```

Main lines, low angle first (2θ from 5° to 70°):
2theta	I_rel	h k l
18.99	9	0 0 2
33.70	5	1 1 0
38.53	25	0 0 4
38.97	100	1 1 2
39.49	24	0 2 0
44.17	2	0 2 2
52.11	3	1 1 4
56.22	9	2 0 0
56.36	16	0 2 4
60.55	1	1 1 5

# 9
Diffraction record for TaAg2Mo4. The XRD peak list is computed, not measured: it uses a PBE-relaxed structure and Cu Kα (weighted mean of Kα1 and Kα2).
Lines closer than 0.1° are merged.

Structural model:
```
data_TaAg2Mo4
_chemical_formula_sum 'Ta2 Ag4 Mo8'
_space_group_name_H-M_alt 'I 4/m m m'
_space_group_IT_number 139
_space_group_name_Hall '-I 4 2'
_cell_length_a 4.7965
_cell_length_b 4.7965
_cell_length_c 13.3698
_cell_angle_alpha 90.00
_cell_angle_beta 90.00
_cell_angle_gamma 90.00
loop_
_atom_site_label
_atom_site_fract_x
_atom_site_fract_y
_atom_site_fract_z
_atom_site_occupancy
Ta1 0.0000 0.0000 0.0000 1
Ag1 0.0000 0.0000 0.3851 1
Mo1 0.0000 0.0000 0.1860 1
Mo2 0.0000 0.5000 0.0000 1
```

Main lines, low angle first (2θ from 5° to 70°):
2theta	I_rel	h k l
13.24	71	0 0 2
26.28	66	1 1 0
37.50	100	2 0 0
37.79	18	1 1 4
38.55	91	1 0 5
39.94	19	2 0 2
54.08	34	2 2 0
54.87	67	2 1 5
56.36	18	2 0 6
68.38	24	3 0 5

# 10
Diffraction record for TaAgMo3. The XRD peak list is computed, not measured: it uses a PBE-relaxed structure and Cu Kα (weighted mean of Kα1 and Kα2).
Lines closer than 0.1° are merged.

Structural model:
```
data_TaAgMo3
_chemical_formula_sum 'Ta1 Ag1 Mo3'
_space_group_name_H-M_alt 'P m -3 m'
_space_group_IT_number 221
_space_group_name_Hall '-P 4 2 3'
_cell_length_a 4.7609
_cell_length_b 4.7609
_cell_length_c 4.7609
_cell_angle_alpha 90.00
_cell_angle_beta 90.00
_cell_angle_gamma 90.00
loop_
_atom_site_label
_atom_site_fract_x
_atom_site_fract_y
_atom_site_fract_z
_atom_site_occupancy
Ta1 0.0000 0.0000 0.0000 1
Ag1 0.5000 0.5000 0.5000 1
Mo1 0.0000 0.0000 0.5000 1
```

Main lines, low angle first (2θ from 5° to 70°):
2theta	I_rel	h k l
18.64	46	1 0 0
26.48	55	1 1 0
32.58	31	1 1 1
37.79	100	2 0 0
42.46	23	2 1 0
46.74	24	2 1 1
54.52	67	2 2 0
58.13	12	3 0 0
64.97	11	3 1 1
68.24	23	2 2 2

# 11
Diffraction record for TlAgMo2. The XRD peak list is computed, not measured: it uses a PBE-relaxed structure and Cu Kα (weighted mean of Kα1 and Kα2).
Lines closer than 0.1° are merged.

Structural model:
```
data_TlAgMo2
_chemical_formula_sum 'Tl2 Ag2 Mo4'
_space_group_name_H-M_alt 'C m m 2'
_space_group_IT_number 35
_cell_length_a 3.2387
_cell_length_b 4.9251
_cell_length_c 9.6082
_cell_angle_alpha 90.00
_cell_angle_beta 90.00
_cell_angle_gamma 90.00
loop_
_space_group_symop_operation_xyz
'x,y,z'
'-x,-y,z'
'-x,y,z'
'x,-y,z'
'x+1/2,y+1/2,z'
'-x+1/2,-y+1/2,z'
'-x+1/2,y+1/2,z'
'x+1/2,-y+1/2,z'
loop_
_atom_site_label
_atom_site_fract_x
_atom_site_fract_y
_atom_site_fract_z
_atom_site_occupancy
Tl1 0.0000 0.0000 0.0000 1
Ag1 0.0000 0.5000 0.7231 1
Mo1 0.0000 0.0000 0.4740 1
Mo2 0.0000 0.5000 0.2743 1
```

Main lines, low angle first (2θ from 5° to 70°):
2theta	I_rel	h k l
9.20	11	0 0 1
27.86	11	0 0 3
34.43	11	1 1 1
36.49	30	0 2 0
37.44	22	0 0 4
38.17	100	1 1 2
53.27	16	0 2 4
58.95	10	1 1 5
66.79	19	1 3 2
68.03	11	1 1 6

# 12
Diffraction record for AgMo2W. The XRD peak list is computed, not measured: it uses a PBE-relaxed structure and Cu Kα (weighted mean of Kα1 and Kα2).
Lines closer than 0.1° are merged.

Structural model:
```
data_AgMo2W
_chemical_formula_sum 'Ag1 Mo2 W1'
_space_group_name_H-M_alt 'P 1 2/m 1'
_space_group_IT_number 10
_cell_length_a 2.6909
_cell_length_b 4.4493
_cell_length_c 5.6492
_cell_angle_alpha 90.00
_cell_angle_beta 103.61
_cell_angle_gamma 90.00
loop_
_space_group_symop_operation_xyz
'x,y,z'
'-x,-y,-z'
'-x,y,-z'
'x,-y,z'
loop_
_atom_site_label
_atom_site_fract_x
_atom_site_fract_y
_atom_site_fract_z
_atom_site_occupancy
Ag1 0.0000 0.0000 0.0000 1
Mo1 0.4663 0.5000 0.7330 1
W1 0.0000 0.0000 0.5000 1
```

Main lines, low angle first (2θ from 5° to 70°):
2theta	I_rel	h k l
16.14	14	0 0 1
19.96	10	0 1 0
38.53	100	0 1 2
39.99	91	1 1 0
40.55	44	0 2 0
41.72	41	1 0 -2
53.80	18	1 0 2
59.59	28	1 2 -2
68.34	9	0 0 4
69.49	17	1 2 2

# 13
Diffraction record for Y2AgMo. The XRD peak list is computed, not measured: it uses a PBE-relaxed structure and Cu Kα (weighted mean of Kα1 and Kα2).
Lines closer than 0.1° are merged.

Structural model:
```
data_Y2AgMo
_chemical_formula_sum 'Y2 Ag1 Mo1'
_space_group_name_H-M_alt 'P 4/m m m'
_space_group_IT_number 123
_space_group_name_Hall '-P 4 2'
_cell_length_a 3.5238
_cell_length_b 3.5238
_cell_length_c 7.4285
_cell_angle_alpha 90.00
_cell_angle_beta 90.00
_cell_angle_gamma 90.00
loop_
_atom_site_label
_atom_site_fract_x
_atom_site_fract_y
_atom_site_fract_z
_atom_site_occupancy
Y1 0.0000 0.0000 0.2324 1
Ag1 0.5000 0.5000 0.5000 1
Mo1 0.5000 0.5000 0.0000 1
```

Main lines, low angle first (2θ from 5° to 70°):
2theta	I_rel	h k l
28.03	1	1 0 1
35.10	100	1 0 2
36.05	47	1 1 0
36.28	1	0 0 3
49.05	9	0 0 4
51.90	16	2 0 0
52.07	1	1 1 3
62.36	17	1 1 4
64.20	32	2 1 2
68.55	1	1 0 5

# 14
Diffraction record for YAgMo2. The XRD peak list is computed, not measured: it uses a PBE-relaxed structure and Cu Kα (weighted mean of Kα1 and Kα2).
Lines closer than 0.1° are merged.

Structural model:
```
data_YAgMo2
_chemical_formula_sum 'Y1 Ag1 Mo2'
_space_group_name_H-M_alt 'P 1 2/m 1'
_space_group_IT_number 10
_cell_length_a 2.9277
_cell_length_b 5.1369
_cell_length_c 5.1642
_cell_angle_alpha 90.00
_cell_angle_beta 96.20
_cell_angle_gamma 90.00
loop_
_space_group_symop_operation_xyz
'x,y,z'
'-x,-y,-z'
'-x,y,-z'
'x,-y,z'
loop_
_atom_site_label
_atom_site_fract_x
_atom_site_fract_y
_atom_site_fract_z
_atom_site_occupancy
Y1 0.0000 0.0000 0.0000 1
Ag1 0.5000 0.0000 0.5000 1
Mo1 0.3414 0.5000 0.7657 1
```

Main lines, low angle first (2θ from 5° to 70°):
2theta	I_rel	h k l
30.72	10	1 0 0
34.93	71	0 2 0
37.11	48	1 0 1
38.12	99	1 1 -1
39.23	100	0 1 2
51.88	35	1 2 1
59.65	14	1 0 -3
64.76	20	1 3 -1
65.53	22	0 3 2
69.07	12	1 1 3

# 15
Diffraction record for ZnAgMo. The XRD peak list is computed, not measured: it uses a PBE-relaxed structure and Cu Kα (weighted mean of Kα1 and Kα2).
Lines closer than 0.1° are merged.

Structural model:
```
data_ZnAgMo
_chemical_formula_sum 'Zn1 Ag1 Mo1'
_space_group_name_H-M_alt 'P 3 m 1'
_space_group_IT_number 156
_cell_length_a 2.7983
_cell_length_b 2.7983
_cell_length_c 7.0677
_cell_angle_alpha 90.00
_cell_angle_beta 90.00
_cell_angle_gamma 120.00
loop_
_space_group_symop_operation_xyz
'x,y,z'
'-y,x-y,z'
'-x+y,-x,z'
'-y,-x,z'
'-x+y,y,z'
'x,x-y,z'
loop_
_atom_site_label
_atom_site_fract_x
_atom_site_fract_y
_atom_site_fract_z
_atom_site_occupancy
Zn1 0.0000 0.0000 0.0000 1
Ag1 0.6667 0.3333 0.3275 1
Mo1 0.3333 0.6667 0.6774 1
```

Main lines, low angle first (2θ from 5° to 70°):
2theta	I_rel	h k l
12.52	5	0 0 1
25.20	4	0 0 2
37.10	2	1 0 0
38.20	35	0 0 3
39.30	100	1 0 1
45.38	64	0 1 2
54.31	2	1 0 3
65.36	21	1 0 4
66.10	1	0 0 5
66.87	19	1 1 0